This entry pairs a crystal structure of FeTcNi2O6 with its calculated X-ray powder pattern. Radiation: Cu Kα. Structure: the PBE+U geometry in Alexandria.
Peak positions follow from Bragg's law for the DFT cell and can differ from measured ones.

Cell lengths 5.321, 5.321, 4.794 Å; angles 90.00, 90.00, 90.00 degrees
Space group P4mm (No. 99)
One atom of each set of equivalent atoms:
Fe  0.000  0.000  0.000 x1
Tc  0.500  0.500  0.998 x1
Ni  0.000  0.500  0.310 x2
O  0.000  0.000  0.631 x1
O  0.257  0.257  0.163 x4
O  0.500  0.500  0.647 x1

Main lines, low angle first (2θ = 15–90°):
hkl 0 0 1, 18.5 deg, rel. 59
hkl 1 1 1, 30.2 deg, rel. 100
hkl 2 0 0, 33.7 deg, rel. 43
hkl 1 1 2, 44.8 deg, rel. 43
hkl 2 2 0, 48.4 deg, rel. 33
hkl 2 2 1, 52.2 deg, rel. 13
hkl 3 1 1, 58.1 deg, rel. 29
hkl 3 1 2, 68.1 deg, rel. 23
hkl 2 0 3, 68.5 deg, rel. 19
hkl 4 0 0, 70.8 deg, rel. 9